Entry 1:
For LiSmTmFe, a cell relaxed with GGA-PBE gives the computed powder XRD pattern in this record (CuKα).
No peak broadening, texture or thermal motion is included.

Atomic structure:
```
data_LiSmTmFe
_cell_length_a 6.8740
_cell_length_b 6.8740
_cell_length_c 6.8740
_cell_angle_alpha 90.00
_cell_angle_beta 90.00
_cell_angle_gamma 90.00
_space_group_name_H-M_alt 'F -4 3 m'
_space_group_IT_number 216
_space_group_name_Hall 'F -4 2 3'
loop_
_atom_site_label
_atom_site_type_symbol
_atom_site_fract_x
_atom_site_fract_y
_atom_site_fract_z
Li1 Li 0.0000 0.0000 0.0000
Sm1 Sm 0.2500 0.2500 0.2500
Tm1 Tm 0.2500 0.2500 0.7500
Fe1 Fe 0.0000 0.0000 0.5000
```

The 10 most intense peaks (10 to 90 degrees two-theta), sorted by position:
index  2theta  Rel. int.
1 1 1  22.40  6
2 0 0  25.92  55
2 2 0  36.99  100
3 1 1  43.67  3
2 2 2  45.72  16
4 0 0  53.31  17
4 2 0  60.21  22
4 2 2  66.65  35
4 4 0  78.75  11
6 0 0  84.58  11

Entry 2:
For LiFeSn, a cell relaxed with GGA-PBE gives the computed powder XRD pattern in this record (CuKα).
No peak broadening, texture or thermal motion is included.

Atomic structure:
```
data_LiFeSn
_cell_length_a 4.0267
_cell_length_b 3.8030
_cell_length_c 6.6329
_cell_angle_alpha 90.00
_cell_angle_beta 107.41
_cell_angle_gamma 90.00
_space_group_name_H-M_alt 'P 1 21/m 1'
_space_group_IT_number 11
loop_
_space_group_symop_operation_xyz
'x,y,z'
'-x,-y,-z'
'-x,y+1/2,-z'
'x,-y+1/2,z'
loop_
_atom_site_label
_atom_site_type_symbol
_atom_site_fract_x
_atom_site_fract_y
_atom_site_fract_z
Li1 Li 0.0891 0.2500 0.1746
Fe1 Fe 0.2440 0.7500 0.4878
Sn1 Sn 0.3924 0.2500 0.7885
```

The 10 most intense peaks (10 to 90 degrees two-theta), sorted by position:
index  2theta  Rel. int.
1 0 -1  23.18  85
0 1 1  27.36  100
1 1 1  38.89  87
1 1 -2  39.00  87
0 0 3  42.87  22
2 0 -1  45.03  32
0 2 0  47.84  27
1 2 -1  53.81  20
2 2 -1  67.79  19
1 3 -2  83.09  20

Entry 3:
For LiFeSn, a cell relaxed with GGA-PBE gives the computed powder XRD pattern in this record (CuKα).
No peak broadening, texture or thermal motion is included.

Atomic structure:
```
data_LiFeSn
_cell_length_a 4.1604
_cell_length_b 4.1604
_cell_length_c 22.0168
_cell_angle_alpha 90.00
_cell_angle_beta 90.00
_cell_angle_gamma 120.00
_space_group_name_H-M_alt 'R -3 m'
_space_group_IT_number 166
_space_group_name_Hall '-R 3 2"'
loop_
_atom_site_label
_atom_site_type_symbol
_atom_site_fract_x
_atom_site_fract_y
_atom_site_fract_z
Li1 Li 0.0000 0.0000 0.2037
Fe1 Fe 0.0000 0.0000 0.3356
Sn1 Sn 0.0000 0.0000 0.0682
```

The 10 most intense peaks (10 to 90 degrees two-theta), sorted by position:
index  2theta  Rel. int.
0 0 3  12.06  100
1 0 1  25.04  44
0 1 5  32.10  27
1 0 7  37.97  59
0 1 8  41.28  38
1 1 0  43.51  54
1 1 3  45.31  22
0 2 7  59.10  16
2 1 7  76.18  16
1 1 15  80.00  18